[1]
This entry pairs a crystal structure of V2Se2O9 with its computed X-ray powder pattern. Radiation: a wavelength of 1.5418 Å. Structure: a crystal structure in the Materials Project, relaxed with GGA+U.
Intensities are scaled so that the largest is 100.

Peak list (10 most intense, 10° ≤ 2θ ≤ 80°, by intensity)
23.80 deg, intensity 100; 27.18 deg, intensity 96; 27.76 deg, intensity 89; 20.51 deg, intensity 84; 22.19 deg, intensity 76; 33.29 deg, intensity 40; 33.54 deg, intensity 30; 52.92 deg, intensity 27; 35.92 deg, intensity 26; 30.60 deg, intensity 24

Structure:
```
V2Se2O9
1.0
8.182 0.000 0.000
0.000 10.527 0.000
-6.322 0.000 8.662
V Se O
8 8 36
direct
0.019 0.104 0.292
0.019 0.396 0.792
0.372 0.032 0.718
0.372 0.468 0.218
0.628 0.532 0.782
0.628 0.968 0.282
0.981 0.604 0.208
0.981 0.896 0.708
0.249 0.163 0.138
0.249 0.337 0.638
0.312 0.655 0.872
0.312 0.845 0.372
0.688 0.155 0.628
0.688 0.345 0.128
0.751 0.663 0.362
0.751 0.837 0.862
0.085 0.726 0.724
0.085 0.774 0.224
0.103 0.552 0.382
0.103 0.948 0.882
0.139 0.544 0.151
0.139 0.956 0.651
0.217 0.530 0.921
0.217 0.970 0.421
0.238 0.186 0.293
0.238 0.314 0.793
0.247 0.178 0.582
0.247 0.322 0.082
0.368 0.573 0.763
0.368 0.927 0.263
0.447 0.088 0.882
0.447 0.412 0.382
0.492 0.639 0.264
0.492 0.861 0.764
0.508 0.139 0.236
0.508 0.361 0.736
0.553 0.588 0.618
0.553 0.912 0.118
0.632 0.073 0.737
0.632 0.427 0.237
0.753 0.678 0.918
0.753 0.822 0.418
0.762 0.686 0.207
0.762 0.814 0.707
0.783 0.030 0.579
0.783 0.470 0.079
0.861 0.044 0.349
0.861 0.456 0.849
0.897 0.052 0.118
0.897 0.448 0.618
0.915 0.226 0.776
0.915 0.274 0.276
```

[2]
This entry pairs a crystal structure of VZnSe2O7 with its computed X-ray powder pattern. Radiation: a wavelength of 1.5418 Å. Structure: a crystal structure in the Materials Project, relaxed with GGA+U.
Intensities are scaled so that the largest is 100.

Peak list (10 most intense, 10° ≤ 2θ ≤ 80°, by intensity)
22.54 deg, intensity 100; 27.90 deg, intensity 83; 30.89 deg, intensity 71; 24.41 deg, intensity 36; 14.83 deg, intensity 27; 36.16 deg, intensity 25; 30.03 deg, intensity 24; 56.73 deg, intensity 20; 51.27 deg, intensity 18; 38.69 deg, intensity 15

Structure:
```
VZnSe2O7
1.0
7.577 0.000 0.000
0.000 12.791 0.000
-4.065 0.000 6.760
V Zn Se O
4 4 8 28
direct
0.037 0.246 0.277
0.037 0.254 0.777
0.963 0.746 0.223
0.963 0.754 0.723
0.284 0.508 0.487
0.284 0.992 0.987
0.716 0.008 0.013
0.716 0.492 0.513
0.162 0.512 0.839
0.162 0.988 0.339
0.464 0.730 0.392
0.464 0.770 0.892
0.536 0.230 0.108
0.536 0.270 0.608
0.838 0.012 0.661
0.838 0.488 0.161
0.003 0.092 0.193
0.003 0.408 0.693
0.034 0.231 0.486
0.034 0.269 0.986
0.058 0.095 0.787
0.058 0.405 0.287
0.264 0.737 0.927
0.264 0.763 0.427
0.316 0.537 0.748
0.316 0.963 0.248
0.338 0.228 0.381
0.338 0.272 0.881
0.467 0.593 0.423
0.467 0.907 0.923
0.533 0.093 0.077
0.533 0.407 0.577
0.662 0.728 0.119
0.662 0.772 0.619
0.684 0.037 0.752
0.684 0.463 0.252
0.736 0.237 0.573
0.736 0.263 0.073
0.942 0.595 0.713
0.942 0.905 0.213
0.966 0.731 0.014
0.966 0.769 0.514
0.997 0.592 0.307
0.997 0.908 0.807
```

[3]
This entry pairs a crystal structure of SrVSi2O7 with its computed X-ray powder pattern. Radiation: a wavelength of 1.5418 Å. Structure: a crystal structure in the Materials Project, relaxed with GGA+U.
Intensities are scaled so that the largest is 100.

Peak list (10 most intense, 10° ≤ 2θ ≤ 80°, by intensity)
27.51 deg, intensity 100; 30.73 deg, intensity 90; 33.29 deg, intensity 34; 42.10 deg, intensity 31; 43.45 deg, intensity 27; 27.11 deg, intensity 26; 23.99 deg, intensity 25; 11.93 deg, intensity 20; 38.54 deg, intensity 20; 45.39 deg, intensity 20

Structure:
```
SrVSi2O7
1.0
2.691 -7.419 0.000
2.691 7.419 0.000
0.000 0.000 7.114
Sr V Si O
2 2 4 14
direct
0.204 0.796 0.750
0.796 0.204 0.250
0.108 0.892 0.250
0.892 0.108 0.750
0.392 0.608 0.024
0.392 0.608 0.476
0.608 0.392 0.524
0.608 0.392 0.976
0.003 0.997 0.750
0.095 0.402 0.561
0.095 0.402 0.939
0.363 0.637 0.250
0.402 0.095 0.061
0.402 0.095 0.439
0.500 0.500 0.000
0.500 0.500 0.500
0.598 0.905 0.561
0.598 0.905 0.939
0.637 0.363 0.750
0.905 0.598 0.061
0.905 0.598 0.439
0.997 0.003 0.250
```

[4]
This entry pairs a crystal structure of SrVSi2O7 with its computed X-ray powder pattern. Radiation: a wavelength of 1.5418 Å. Structure: a crystal structure in the Materials Project, relaxed with GGA+U.
Intensities are scaled so that the largest is 100.

Peak list (10 most intense, 10° ≤ 2θ ≤ 80°, by intensity)
27.53 deg, intensity 100; 30.71 deg, intensity 87; 33.34 deg, intensity 33; 42.10 deg, intensity 30; 43.49 deg, intensity 26; 27.11 deg, intensity 25; 24.00 deg, intensity 23; 11.94 deg, intensity 21; 38.56 deg, intensity 20; 45.36 deg, intensity 19

Structure:
```
SrVSi2O7
1.0
7.123 0.000 0.000
0.000 7.415 2.688
0.000 -7.415 2.688
Sr V Si O
2 2 4 14
direct
0.250 0.205 0.795
0.750 0.795 0.205
0.250 0.887 0.104
0.750 0.104 0.887
0.024 0.606 0.390
0.476 0.606 0.390
0.524 0.390 0.606
0.976 0.390 0.606
0.000 0.500 0.500
0.061 0.093 0.397
0.061 0.593 0.903
0.250 0.634 0.360
0.250 0.990 0.984
0.439 0.093 0.397
0.439 0.593 0.903
0.500 0.500 0.500
0.561 0.397 0.093
0.561 0.903 0.593
0.750 0.360 0.634
0.750 0.984 0.990
0.939 0.397 0.093
0.939 0.903 0.593
```